# Hg2AsBr6
Theoretical X-ray powder pattern, Cu Kα, 1.54184 Å. Input: a cell relaxed with PBE.
Neutral-atom scattering factors, no anomalous dispersion.

The 10 most intense peaks (10° ≤ 2θ ≤ 90°), in order of rising 2θ:
2theta, I (rel.), (hkl)
14.43, 100, 0 2 0
20.06, 65, 3 1 0
23.02, 55, 2 2 1
24.39, 50, 1 1 -2
25.14, 39, 1 3 -1
25.74, 81, 1 3 1
29.21, 53, 3 1 -2
41.32, 85, 5 3 1
41.42, 57, 1 3 -3
42.60, 48, 6 0 -2

Structure:
```
data_Hg2AsBr6
_chemical_formula_sum 'Hg8 As4 Br24'
_cell_length_a 14.314
_cell_length_b 12.261
_cell_length_c 7.754
_cell_angle_alpha 90.00
_cell_angle_beta 95.96
_cell_angle_gamma 90.00
_space_group_name_H-M_alt 'C 1 2/c 1'
_space_group_IT_number 15
loop_
_space_group_symop_operation_xyz
'x,y,z'
'-x,-y,-z'
'-x,y,-z+1/2'
'x,-y,z+1/2'
'x+1/2,y+1/2,z'
'-x+1/2,-y+1/2,-z'
'-x+1/2,y+1/2,-z+1/2'
'x+1/2,-y+1/2,z+1/2'
loop_
_atom_site_label
_atom_site_fract_x
_atom_site_fract_y
_atom_site_fract_z
Hg1 0.199 0.063 0.341
As1 0.000 0.383 0.250
Br1 0.106 0.254 0.138
Br2 0.111 0.088 0.637
Br3 0.118 0.415 0.565
```